Diffraction record for Na2CeHg3. The powder diffraction line list is theoretical, not measured: it uses DFT lattice parameters and positions (PBE) and CuKα.
No peak broadening, texture or thermal motion is included.

Top 12 peaks for 2θ from 5° to 70°, low angle first:
(0 0 1), d 6.488, intensity 11.2; (1 0 0), d 4.608, intensity 8.5; (1 0 1), d 3.757, intensity 65.3; (1 1 0), d 2.660, intensity 100.0; (0 1 2), d 2.653, intensity 94.5; (0 2 1), d 2.171, intensity 15.8; (1 1 2), d 2.057, intensity 8.6; (2 0 2), d 1.878, intensity 34.6; (2 1 1), d 1.682, intensity 14.7; (1 1 3), d 1.678, intensity 12.2; (3 0 0), d 1.535, intensity 55.0; (1 0 4), d 1.530, intensity 19.4

Structural model:
a = 5.3209 Å, b = 5.3209 Å, c = 6.4884 Å
α = 90.00°, β = 90.00°, γ = 120.00°
Space group P-3m1 (No. 164)
One atom of each set of equivalent atoms:
Na1 0.3333 0.6667 0.1429 (multiplicity 2)
Ce1 0.0000 0.0000 0.5000 (multiplicity 1)
Hg1 0.0000 0.0000 0.0000 (multiplicity 1)
Hg2 0.3333 0.6667 0.6435 (multiplicity 2)